Diffraction record for Tb2SmMg8. The powder diffractogram is theoretical, not measured: it uses a structure optimized by DFT (GGA-PBE) and Cu Kα.

The 12 most intense peaks (5 to 70 degrees two-theta), by angle:
- 2θ = 20.7°, 4.282 Å, I = 86
- 2θ = 21.4°, 4.147 Å, I = 66
- 2θ = 23.9°, 3.723 Å, I = 32
- 2θ = 24.6°, 3.613 Å, I = 33
- 2θ = 31.7°, 2.819 Å, I = 42
- 2θ = 34.3°, 2.617 Å, I = 35
- 2θ = 34.6°, 2.593 Å, I = 100
- 2θ = 40.2°, 2.243 Å, I = 21
- 2θ = 40.8°, 2.213 Å, I = 25
- 2θ = 44.0°, 2.057 Å, I = 17
- 2θ = 49.0°, 1.860 Å, I = 17
- 2θ = 61.6°, 1.506 Å, I = 20

Structure:
a = 8.7642 Å, b = 8.7642 Å, c = 8.7642 Å
α = 145.25°, β = 129.72°, γ = 62.57°
Fractional positions:
Tb 0.2015 0.2015 0.0000
Tb 0.7985 0.7985 0.0000
Sm 0.5000 0.5000 0.0000
Mg 0.0619 0.3568 0.7051
Mg 0.2099 0.0000 0.2099
Mg 0.3411 0.8411 0.5000
Mg 0.3483 0.6432 0.7051
Mg 0.6517 0.3568 0.2949
Mg 0.6589 0.1589 0.5000
Mg 0.7901 0.0000 0.7901
Mg 0.9381 0.6432 0.2949

***

Diffraction record for TbSm14Mg. The powder diffractogram is theoretical, not measured: it uses a structure optimized by DFT (GGA-PBE) and Cu Kα.

The 12 most intense peaks (5 to 70 degrees two-theta), by angle:
- 2θ = 8.7°, 10.200 Å, I = 1
- 2θ = 12.3°, 7.190 Å, I = 1
- 2θ = 15.1°, 5.877 Å, I = 2
- 2θ = 21.4°, 4.160 Å, I = 1
- 2θ = 29.1°, 3.069 Å, I = 1
- 2θ = 30.4°, 2.938 Å, I = 100
- 2θ = 35.2°, 2.550 Å, I = 17
- 2θ = 35.3°, 2.542 Å, I = 34
- 2θ = 50.7°, 1.799 Å, I = 36
- 2θ = 60.2°, 1.537 Å, I = 14
- 2θ = 60.4°, 1.533 Å, I = 29
- 2θ = 63.3°, 1.469 Å, I = 12

Structure:
a = 10.1998 Å, b = 7.1903 Å, c = 7.1903 Å
α = 89.99°, β = 90.00°, γ = 90.00°
Fractional positions:
Tb 0.0000 0.0000 0.0000
Sm 0.0000 0.5002 0.9993
Sm 0.0000 0.9993 0.5002
Sm 0.2474 0.2497 0.2497
Sm 0.2477 0.2497 0.7501
Sm 0.2477 0.7501 0.2497
Sm 0.2480 0.7501 0.7501
Sm 0.5000 0.0001 0.0001
Sm 0.5000 0.0001 0.4998
Sm 0.5000 0.4998 0.0001
Sm 0.5000 0.4998 0.4998
Sm 0.7523 0.2497 0.7501
Sm 0.7523 0.7501 0.2497
Sm 0.7520 0.7501 0.7501
Sm 0.7526 0.2497 0.2497
Mg 0.0000 0.4991 0.4991

***

Diffraction record for Tb5Sm4Mg2. The powder diffractogram is theoretical, not measured: it uses a structure optimized by DFT (GGA-PBE) and Cu Kα.

The 12 most intense peaks (5 to 70 degrees two-theta), by angle:
- 2θ = 7.7°, 11.487 Å, I = 56
- 2θ = 27.3°, 3.268 Å, I = 90
- 2θ = 30.3°, 2.948 Å, I = 36
- 2θ = 30.9°, 2.891 Å, I = 96
- 2θ = 31.7°, 2.823 Å, I = 100
- 2θ = 32.3°, 2.774 Å, I = 87
- 2θ = 33.3°, 2.688 Å, I = 30
- 2θ = 34.1°, 2.631 Å, I = 88
- 2θ = 35.0°, 2.563 Å, I = 35
- 2θ = 36.2°, 2.483 Å, I = 36
- 2θ = 37.6°, 2.392 Å, I = 43
- 2θ = 39.0°, 2.310 Å, I = 38

Structure:
a = 9.0258 Å, b = 9.0258 Å, c = 11.5022 Å
α = 92.92°, β = 92.92°, γ = 22.26°
Fractional positions:
Tb 0.0000 0.0000 0.0000
Tb 0.2879 0.2879 0.6178
Tb 0.3248 0.3248 0.9214
Tb 0.6752 0.6752 0.0786
Tb 0.7121 0.7121 0.3822
Sm 0.1426 0.1426 0.8110
Sm 0.4766 0.4766 0.7228
Sm 0.5234 0.5234 0.2772
Sm 0.8574 0.8574 0.1890
Mg 0.0898 0.0898 0.5315
Mg 0.9102 0.9102 0.4685